For Lu4Zr2Ni3N3, a PBE-relaxed structure gives the theoretical powder diffraction line list in this record (Cu Kα X-rays).

Structure:
```
data_Lu4Zr2Ni3N3
_chemical_formula_sum 'Lu16 Zr8 Ni12 N12'
_space_group_name_H-M_alt 'C 1 2/c 1'
_space_group_IT_number 15
_cell_length_a 9.780
_cell_length_b 5.652
_cell_length_c 14.049
_cell_angle_alpha 90.00
_cell_angle_beta 103.57
_cell_angle_gamma 90.00
loop_
_space_group_symop_operation_xyz
'x,y,z'
'-x,-y,-z'
'-x,y,-z+1/2'
'x,-y,z+1/2'
'x+1/2,y+1/2,z'
'-x+1/2,-y+1/2,-z'
'-x+1/2,y+1/2,-z+1/2'
'x+1/2,-y+1/2,z+1/2'
loop_
_atom_site_label
_atom_site_type_symbol
_atom_site_fract_x
_atom_site_fract_y
_atom_site_fract_z
_atom_site_occupancy
Lu1 Lu 0.116 0.083 0.096 1
Lu2 Lu 0.217 0.083 0.404 1
Zr1 Zr 0.048 0.417 0.896 1
Ni1 Ni 0.000 0.073 0.250 1
Ni2 Ni 0.240 0.343 0.249 1
N1 N 0.079 0.263 0.500 1
N2 N 0.250 0.250 0.000 1
```

Principal peaks in the range 10° ≤ 2θ ≤ 80°, sorted by position:
hkl	two_theta	I (rel.)
0 0 4	26.10	12
0 2 0	31.68	18
3 1 0	32.37	31
3 1 -4	37.47	100
0 0 6	39.60	19
0 2 4	41.49	17
6 0 -2	56.42	17
3 3 3	63.17	14